The following is a theoretical X-ray diffraction stick pattern of Li4VP6O18. It was derived from a DFT-relaxed cell (GGA+U, the Materials Project), using a wavelength of 1.5418 Å.
Lines closer than 0.1° are merged.

Structure:
a b c (Å): 7.3715 7.4159 7.5326
angles (deg): 104.65 115.78 97.84
Space group P1 (No. 1)
Inequivalent atoms, fractional coordinates:
Li  0.0000  0.0000  0.0000 x1
Li  0.1178  0.3861  0.4661 x1
Li  0.2672  0.6944  0.8977 x1
Li  0.8707  0.7393  0.5335 x1
V  0.4275  0.9980  0.3967 x1
P  0.3014  0.0678  0.7814 x1
P  0.4157  0.3418  0.1868 x1
P  0.6151  0.6361  0.7614 x1
P  0.6699  0.0864  0.1548 x1
P  0.8522  0.3582  0.7258 x1
P  0.9753  0.6335  0.1378 x1
O  0.0048  0.4693  0.6821 x1
O  0.1360  0.7888  0.1404 x1
O  0.1455  0.9135  0.7817 x1
O  0.2768  0.0859  0.5792 x1
O  0.2908  0.1975  0.2341 x1
O  0.3158  0.2761  0.9309 x1
O  0.3895  0.6028  0.7053 x1
O  0.4497  0.5533  0.2716 x1
O  0.5367  0.0493  0.9057 x1
O  0.5554  0.9282  0.1941 x1
O  0.6418  0.2951  0.2542 x1
O  0.6417  0.4295  0.6567 x1
O  0.7283  0.7925  0.7214 x1
O  0.7469  0.6642  0.0107 x1
O  0.7697  0.1410  0.6292 x1
O  0.8954  0.1169  0.2141 x1
O  0.9506  0.4230  0.9805 x1
O  0.9992  0.6117  0.3371 x1

Largest 6 diffraction maxima, in order of rising 2θ, 10° ≤ 2θ ≤ 90°:
d (Å), intensity
5.515, 68
4.809, 100
3.596, 47
3.177, 52
3.157, 64
2.938, 48